Record 1
Theoretical X-ray powder pattern
Compound: RbLiAc2Se4
Radiation: Cu Kα X-rays
Structure: a PBE-relaxed structure

Most intense lines, 2θ = 10–90°, in order of falling intensity:
- 2.271 Å, 2θ 39.69, intensity 100
- 4.270 Å, 2θ 20.80, intensity 67
- 3.099 Å, 2θ 28.81, intensity 63
- 3.304 Å, 2θ 26.99, intensity 60
- 7.745 Å, 2θ 11.42, intensity 51
- 2.524 Å, 2θ 35.57, intensity 48
- 3.382 Å, 2θ 26.35, intensity 44
- 2.869 Å, 2θ 31.18, intensity 27
- 3.796 Å, 2θ 23.43, intensity 27
- 1.898 Å, 2θ 47.93, intensity 25

Structure:
abc: 7.9264 7.9264 15.4907
angles: 90.00 90.00 146.68
Sites, in units of the cell vectors:
Rb: 0.1059 0.8941 0.7500
Rb: 0.8941 0.1059 0.2500
Li: 0.1645 0.8355 0.2500
Li: 0.8355 0.1645 0.7500
Ac: 0.3661 0.6339 0.5603
Ac: 0.3661 0.6339 0.9397
Ac: 0.6339 0.3661 0.0603
Ac: 0.6339 0.3661 0.4397
Se: 0.0000 0.0000 0.0000
Se: 0.0000 0.0000 0.5000
Se: 0.2612 0.7388 0.1124
Se: 0.2612 0.7388 0.3876
Se: 0.4237 0.5763 0.7500
Se: 0.5763 0.4237 0.2500
Se: 0.7388 0.2612 0.6124
Se: 0.7388 0.2612 0.8876

Record 2
Theoretical X-ray powder pattern
Compound: Na3InP2O8
Radiation: Cu Kα X-rays
Structure: a PBE-relaxed structure

Most intense lines, 2θ = 10–90°, in order of falling intensity:
- 6.708 Å, 2θ 13.20, intensity 100
- 2.650 Å, 2θ 33.83, intensity 97
- 2.839 Å, 2θ 31.51, intensity 86
- 2.868 Å, 2θ 31.19, intensity 67
- 2.775 Å, 2θ 32.25, intensity 40
- 2.605 Å, 2θ 34.43, intensity 38
- 4.537 Å, 2θ 19.56, intensity 38
- 4.679 Å, 2θ 18.97, intensity 37
- 4.045 Å, 2θ 21.97, intensity 33
- 1.943 Å, 2θ 46.75, intensity 30

Structure:
abc: 5.2138 18.4651 8.7301
angles: 90.00 124.43 90.00
Sites, in units of the cell vectors:
Na: 0.0476 0.0500 0.2902
Na: 0.0476 0.4500 0.7902
Na: 0.3031 0.6251 0.0154
Na: 0.3031 0.8749 0.5154
Na: 0.3972 0.1941 0.6959
Na: 0.3972 0.3059 0.1959
Na: 0.6028 0.6941 0.8041
Na: 0.6028 0.8059 0.3041
Na: 0.6969 0.1251 0.4846
Na: 0.6969 0.3749 0.9846
Na: 0.9524 0.5500 0.2098
Na: 0.9524 0.9500 0.7098
In: 0.2044 0.1281 0.9869
In: 0.2044 0.3719 0.4869
In: 0.7956 0.6281 0.5131
In: 0.7956 0.8719 0.0131
P: 0.0846 0.7135 0.2814
P: 0.0846 0.7865 0.7814
P: 0.4864 0.5366 0.7170
P: 0.4864 0.9634 0.2170
P: 0.5136 0.0366 0.7830
P: 0.5136 0.4634 0.2830
P: 0.9154 0.2135 0.2186
P: 0.9154 0.2865 0.7186
O: 0.0201 0.6714 0.1131
O: 0.0201 0.8286 0.6131
O: 0.0807 0.7020 0.7524
O: 0.0807 0.7980 0.2524
O: 0.1723 0.1942 0.1839
O: 0.1723 0.3058 0.6839
O: 0.1820 0.5677 0.5445
O: 0.1820 0.9323 0.0445
O: 0.2280 0.0635 0.7846
O: 0.2280 0.4365 0.2846
O: 0.4158 0.6975 0.4592
O: 0.4158 0.8025 0.9592
O: 0.4714 0.0615 0.6036
O: 0.4714 0.4385 0.1036
O: 0.4880 0.0486 0.2123
O: 0.4880 0.4514 0.7123
O: 0.5120 0.5486 0.2877
O: 0.5120 0.9514 0.7877
O: 0.5286 0.5615 0.8964
O: 0.5286 0.9385 0.3964
O: 0.5842 0.1975 0.0408
O: 0.5842 0.3025 0.5408
O: 0.7720 0.5635 0.7154
O: 0.7720 0.9365 0.2154
O: 0.8180 0.0677 0.9555
O: 0.8180 0.4323 0.4555
O: 0.8277 0.6942 0.3161
O: 0.8277 0.8058 0.8161
O: 0.9193 0.2020 0.7476
O: 0.9193 0.2980 0.2476
O: 0.9799 0.1714 0.3869
O: 0.9799 0.3286 0.8869

Record 3
Theoretical X-ray powder pattern
Compound: Ga7Pt3
Radiation: Cu Kα X-rays
Structure: a PBE-relaxed structure

Most intense lines, 2θ = 10–90°, in order of falling intensity:
- 2.096 Å, 2θ 43.16, intensity 100
- 3.631 Å, 2θ 24.52, intensity 54
- 1.210 Å, 2θ 79.14, intensity 35
- 2.567 Å, 2θ 34.95, intensity 28
- 1.482 Å, 2θ 62.68, intensity 20
- 1.815 Å, 2θ 50.26, intensity 20
- 4.447 Å, 2θ 19.97, intensity 19
- 1.095 Å, 2θ 89.54, intensity 18
- 1.372 Å, 2θ 68.36, intensity 15
- 2.377 Å, 2θ 37.85, intensity 13

Structure:
abc: 7.7016 7.7016 7.7016
angles: 109.47 109.47 109.47
Sites, in units of the cell vectors:
Ga: 0.0000 0.0000 0.3285
Ga: 0.0000 0.0000 0.6715
Ga: 0.0000 0.3285 0.0000
Ga: 0.0000 0.6715 0.0000
Ga: 0.2500 0.5000 0.7500
Ga: 0.2500 0.7500 0.5000
Ga: 0.3285 0.0000 0.0000
Ga: 0.3285 0.3285 0.3285
Ga: 0.5000 0.2500 0.7500
Ga: 0.5000 0.7500 0.2500
Ga: 0.6715 0.0000 0.0000
Ga: 0.6715 0.6715 0.6715
Ga: 0.7500 0.2500 0.5000
Ga: 0.7500 0.5000 0.2500
Pt: 0.0000 0.3405 0.3405
Pt: 0.0000 0.6595 0.6595
Pt: 0.3405 0.0000 0.3405
Pt: 0.3405 0.3405 0.0000
Pt: 0.6595 0.0000 0.6595
Pt: 0.6595 0.6595 0.0000

Record 4
Theoretical X-ray powder pattern
Compound: BaGe4Au6
Radiation: Cu Kα X-rays
Structure: a PBE-relaxed structure

Most intense lines, 2θ = 10–90°, in order of falling intensity:
- 2.961 Å, 2θ 30.18, intensity 100
- 2.819 Å, 2θ 31.74, intensity 82
- 3.282 Å, 2θ 27.17, intensity 58
- 1.996 Å, 2θ 45.45, intensity 52
- 2.344 Å, 2θ 38.40, intensity 51
- 3.102 Å, 2θ 28.78, intensity 47
- 2.337 Å, 2θ 38.53, intensity 44
- 2.086 Å, 2θ 43.38, intensity 42
- 2.984 Å, 2θ 29.95, intensity 41
- 2.223 Å, 2θ 40.58, intensity 41

Structure:
abc: 6.6307 6.6865 6.7026
angles: 70.19 65.04 89.86
Sites, in units of the cell vectors:
Ba: 0.0000 0.0000 0.0000
Ge: 0.1627 0.4913 0.0484
Ge: 0.4780 0.4135 0.3819
Ge: 0.5142 0.1768 0.0221
Ge: 0.8265 0.8586 0.6195
Au: 0.0546 0.5691 0.4631
Au: 0.1515 0.1584 0.4002
Au: 0.4652 0.7907 0.0245
Au: 0.5073 0.9911 0.5059
Au: 0.5506 0.5308 0.6678
Au: 0.8173 0.4906 0.9654

Record 5
Theoretical X-ray powder pattern
Compound: LiNdCd2Au4
Radiation: Cu Kα X-rays
Structure: a PBE-relaxed structure

Most intense lines, 2θ = 10–90°, in order of falling intensity:
- 2.396 Å, 2θ 37.53, intensity 100
- 2.485 Å, 2θ 36.15, intensity 85
- 1.400 Å, 2θ 66.83, intensity 28
- 1.725 Å, 2θ 53.10, intensity 28
- 3.450 Å, 2θ 25.83, intensity 27
- 1.383 Å, 2θ 67.73, intensity 18
- 2.696 Å, 2θ 33.24, intensity 15
- 3.184 Å, 2θ 28.02, intensity 15
- 1.198 Å, 2θ 80.10, intensity 11
- 1.361 Å, 2θ 68.98, intensity 11

Structure:
abc: 8.7228 8.7228 8.7228
angles: 31.89 31.89 31.89
Sites, in units of the cell vectors:
Li: 0.0000 0.0000 0.0000
Nd: 0.5000 0.5000 0.5000
Cd: 0.2551 0.2551 0.2551
Cd: 0.7449 0.7449 0.7449
Au: 0.1083 0.1083 0.1083
Au: 0.3720 0.3720 0.3720
Au: 0.6280 0.6280 0.6280
Au: 0.8917 0.8917 0.8917

Record 6
Theoretical X-ray powder pattern
Compound: La5Sm3Y3
Radiation: Cu Kα X-rays
Structure: a PBE-relaxed structure

Most intense lines, 2θ = 10–90°, in order of falling intensity:
- 2.985 Å, 2θ 29.93, intensity 100
- 3.317 Å, 2θ 26.88, intensity 96
- 2.760 Å, 2θ 32.44, intensity 76
- 2.219 Å, 2θ 40.66, intensity 57
- 2.560 Å, 2θ 35.05, intensity 49
- 1.498 Å, 2θ 61.93, intensity 31
- 1.911 Å, 2θ 47.58, intensity 28
- 2.860 Å, 2θ 31.28, intensity 26
- 3.761 Å, 2θ 23.65, intensity 26
- 1.657 Å, 2θ 55.44, intensity 24

Structure:
abc: 11.4913 11.4913 3.4942
angles: 90.00 90.00 120.00
Sites, in units of the cell vectors:
La: 0.0000 0.3384 0.0000
La: 0.3333 0.6667 0.0000
La: 0.3384 0.0000 0.0000
La: 0.6616 0.6616 0.0000
La: 0.6667 0.3333 0.0000
Sm: 0.0000 0.5961 0.5000
Sm: 0.4039 0.4039 0.5000
Sm: 0.5961 0.0000 0.5000
Y: 0.0000 0.8391 0.0000
Y: 0.1609 0.1609 0.0000
Y: 0.8391 0.0000 0.0000

Record 7
Theoretical X-ray powder pattern
Compound: LaPmH8Ir2
Radiation: Cu Kα X-rays
Structure: a PBE-relaxed structure

Most intense lines, 2θ = 10–90°, in order of falling intensity:
- 3.160 Å, 2θ 28.24, intensity 100
- 2.445 Å, 2θ 36.75, intensity 53
- 2.071 Å, 2θ 43.72, intensity 28
- 1.934 Å, 2θ 46.98, intensity 26
- 1.517 Å, 2θ 61.09, intensity 23
- 1.328 Å, 2θ 70.98, intensity 23
- 1.581 Å, 2θ 58.38, intensity 14
- 1.412 Å, 2θ 66.20, intensity 10
- 1.140 Å, 2θ 85.08, intensity 9
- 1.223 Å, 2θ 78.18, intensity 6

Structure:
abc: 6.9313 6.9313 6.9313
angles: 41.32 41.32 41.32
Sites, in units of the cell vectors:
La: 0.0000 0.0000 0.0000
Pm: 0.5000 0.5000 0.5000
H: 0.0267 0.6104 0.0289
H: 0.0289 0.0267 0.6104
H: 0.3243 0.3243 0.3243
H: 0.3896 0.9711 0.9733
H: 0.6104 0.0289 0.0267
H: 0.6757 0.6757 0.6757
H: 0.9711 0.9733 0.3896
H: 0.9733 0.3896 0.9711
Ir: 0.2387 0.2387 0.2387
Ir: 0.7613 0.7613 0.7613

Record 8
Theoretical X-ray powder pattern
Compound: Pm4HoAl2
Radiation: Cu Kα X-rays
Structure: a PBE-relaxed structure

Most intense lines, 2θ = 10–90°, in order of falling intensity:
- 2.952 Å, 2θ 30.28, intensity 100
- 3.021 Å, 2θ 29.56, intensity 78
- 2.510 Å, 2θ 35.78, intensity 78
- 2.495 Å, 2θ 36.00, intensity 65
- 3.821 Å, 2θ 23.28, intensity 45
- 1.937 Å, 2θ 46.90, intensity 27
- 3.340 Å, 2θ 26.69, intensity 22
- 1.910 Å, 2θ 47.60, intensity 20
- 1.828 Å, 2θ 49.87, intensity 17
- 3.875 Å, 2θ 22.95, intensity 16

Structure:
abc: 8.1458 8.1458 8.1458
angles: 110.24 110.24 107.94
Sites, in units of the cell vectors:
Pm: 0.1507 0.7317 0.7450
Pm: 0.1557 0.2367 0.7550
Pm: 0.2683 0.0133 0.4190
Pm: 0.4817 0.4007 0.2450
Pm: 0.5943 0.8493 0.5810
Pm: 0.5993 0.8443 0.0810
Pm: 0.7633 0.5183 0.9190
Pm: 0.9867 0.4057 0.2550
Ho: 0.0000 0.0000 0.0000
Ho: 0.7500 0.2500 0.5000
Al: 0.2220 0.6250 0.0970
Al: 0.3750 0.4720 0.5970
Al: 0.5280 0.1250 0.9030
Al: 0.8750 0.7780 0.4030

Record 9
Theoretical X-ray powder pattern
Compound: Li3Ho2Hg3
Radiation: Cu Kα X-rays
Structure: a PBE-relaxed structure

Most intense lines, 2θ = 10–90°, in order of falling intensity:
- 2.496 Å, 2θ 35.98, intensity 100
- 4.076 Å, 2θ 21.81, intensity 37
- 1.442 Å, 2θ 64.65, intensity 28
- 2.129 Å, 2θ 42.47, intensity 19
- 1.765 Å, 2θ 51.80, intensity 17
- 4.261 Å, 2θ 20.85, intensity 10
- 3.530 Å, 2θ 25.23, intensity 10
- 1.117 Å, 2θ 87.30, intensity 8
- 8.136 Å, 2θ 10.87, intensity 8
- 1.439 Å, 2θ 64.80, intensity 8

Structure:
abc: 8.6325 8.6325 8.6325
angles: 33.64 33.64 33.64
Sites, in units of the cell vectors:
Li: 0.0000 0.0000 0.0000
Li: 0.1273 0.1273 0.1273
Li: 0.6230 0.6230 0.6230
Ho: 0.3791 0.3791 0.3791
Ho: 0.8727 0.8727 0.8727
Hg: 0.2559 0.2559 0.2559
Hg: 0.5020 0.5020 0.5020
Hg: 0.7439 0.7439 0.7439